Starting from a GGA+U-relaxed structure, the XRD peak list of Na2VF4 was computed for a wavelength of 1.5418 Å.

Largest 10 diffraction maxima, by intensity, 15 to 90 degrees two-theta:
2θ (°), d [Å], Rel. int.
31.8, 2.810, 100
56.7, 1.622, 64
44.8, 2.025, 62
15.1, 5.854, 60
23.3, 3.825, 56
30.7, 2.916, 36
38.0, 2.370, 26
46.5, 1.951, 26
34.5, 2.596, 25
52.2, 1.753, 18

```
28
Lattice="5.6213 0.0000 0.0000 0.0000 5.8322 0.0000 0.0000 0.0000 11.7080" Properties=species:S:1:pos:R:3 pbc="T T T"
Na 0.0285 0.3821 1.8497
Na 0.0285 2.5340 7.7037
Na 2.7822 3.2983 1.8497
Na 2.7822 5.4501 7.7037
Na 2.8391 0.3821 4.0043
Na 2.8391 2.5340 9.8583
Na 5.5928 3.2983 4.0043
Na 5.5928 5.4501 9.8583
V 0.0000 0.0000 5.8540
V 0.0000 2.9161 0.0000
V 2.8106 0.0000 0.0000
V 2.8106 2.9161 5.8540
F 0.6289 0.3114 7.8374
F 0.6289 2.6047 1.9834
F 1.0849 1.1510 11.1940
F 1.0849 1.7651 5.3401
F 1.7258 4.0671 11.1940
F 1.7258 4.6812 5.3401
F 2.1817 3.2275 7.8374
F 2.1817 5.5208 1.9834
F 3.4395 0.3114 9.7246
F 3.4395 2.6047 3.8706
F 3.8955 1.1510 6.3679
F 3.8955 1.7651 0.5139
F 4.5364 4.0671 6.3679
F 4.5364 4.6812 0.5139
F 4.9923 3.2275 9.7246
F 4.9923 5.5208 3.8706
```